1.
For FeMo6Se8, a structure optimized by DFT (GGA-PBE) gives the theoretical powder diffractogram in this record (Cu Kα X-rays).

Crystal structure
```
data_FeMo6Se8
_cell_length_a 6.837
_cell_length_b 9.615
_cell_length_c 9.723
_cell_angle_alpha 90.32
_cell_angle_beta 91.16
_cell_angle_gamma 95.83
_symmetry_space_group_name_H-M 'P -1'
_symmetry_Int_Tables_number 2
loop_
_symmetry_equiv_pos_as_xyz
'x,y,z'
'-x,-y,-z'
loop_
_atom_site_label
_atom_site_fract_x
_atom_site_fract_y
_atom_site_fract_z
Fe1 0.117 0.273 0.262
Mo1 0.233 0.485 0.432
Mo2 0.236 0.980 0.929
Mo3 0.417 0.891 0.156
Mo4 0.418 0.392 0.654
Mo5 0.457 0.174 0.094
Mo6 0.468 0.675 0.597
Se1 0.126 0.036 0.179
Se2 0.134 0.555 0.681
Se3 0.202 0.215 0.498
Se4 0.207 0.721 0.990
Se5 0.273 0.243 0.872
Se6 0.277 0.746 0.380
Se7 0.373 0.929 0.691
Se8 0.380 0.436 0.179
```

The 10 most intense peaks (2θ from 10° to 90°), low angle first:
2θ (°)	Rel. int.
12.96	1000
13.04	293
31.79	172
37.90	157
39.65	192
43.04	287
44.09	206
44.45	169
48.14	167
48.73	276

---

2.
For Ba6NaCu3Te14, a structure optimized by DFT (GGA-PBE) gives the theoretical powder diffractogram in this record (Cu Kα X-rays).

Crystal structure
```
data_Ba6NaCu3Te14
_cell_length_a 14.3284
_cell_length_b 14.3284
_cell_length_c 9.1356
_cell_angle_alpha 90.00
_cell_angle_beta 90.00
_cell_angle_gamma 120.00
_symmetry_space_group_name_H-M 'P 63/m c m'
_symmetry_Int_Tables_number 193
_symmetry_space_group_name_Hall '-P 6c 2'
loop_
_atom_site_label
_atom_site_fract_x
_atom_site_fract_y
_atom_site_fract_z
Ba1 0.2077 0.4512 0.2500
Na1 0.0000 0.0000 0.0000
Cu1 0.0000 0.1923 0.7500
Te1 0.0000 0.1719 0.2500
Te2 0.0000 0.3181 0.5261
Te3 0.0000 0.4676 0.7500
Te4 0.3333 0.6667 0.0000
```

The 10 most intense peaks (2θ from 10° to 90°), low angle first:
2θ (°)	Rel. int.
25.89	168
28.78	190
29.13	1000
32.58	182
34.96	162
37.67	161
39.46	219
41.41	163
43.77	116
62.83	154

---

3.
For Nd6Fe13As, a structure optimized by DFT (GGA-PBE) gives the theoretical powder diffractogram in this record (Cu Kα X-rays).

Crystal structure
```
data_Nd6Fe13As
_cell_length_a 7.999
_cell_length_b 7.999
_cell_length_c 23.037
_cell_angle_alpha 90.00
_cell_angle_beta 90.00
_cell_angle_gamma 90.00
_symmetry_space_group_name_H-M 'I 4/m c m'
_symmetry_Int_Tables_number 140
_symmetry_space_group_name_Hall '-I 4 2c'
loop_
_atom_site_label
_atom_site_fract_x
_atom_site_fract_y
_atom_site_fract_z
Nd1 0.000 0.000 0.107
Nd2 0.165 0.335 0.188
Fe1 0.000 0.500 0.000
Fe2 0.066 0.209 0.500
Fe3 0.114 0.386 0.405
Fe4 0.179 0.321 0.060
As1 0.000 0.000 0.250
```

The 10 most intense peaks (2θ from 10° to 90°), low angle first:
2θ (°)	Rel. int.
27.51	694
31.66	1000
34.97	279
35.49	742
38.52	574
38.89	294
43.47	349
47.01	360
58.52	285
68.00	295

---

4.
For Rb3P11, a structure optimized by DFT (GGA-PBE) gives the theoretical powder diffractogram in this record (Cu Kα X-rays).

Crystal structure
```
data_Rb3P11
_cell_length_a 10.958
_cell_length_b 3.371
_cell_length_c 41.079
_cell_angle_alpha 90.00
_cell_angle_beta 95.05
_cell_angle_gamma 90.00
_symmetry_space_group_name_H-M 'C 1 2/m 1'
_symmetry_Int_Tables_number 12
loop_
_symmetry_equiv_pos_as_xyz
'x,y,z'
'-x,-y,-z'
'-x,y,-z'
'x,-y,z'
'x+1/2,y+1/2,z'
'-x+1/2,-y+1/2,-z'
'-x+1/2,y+1/2,-z'
'x+1/2,-y+1/2,z'
loop_
_atom_site_label
_atom_site_fract_x
_atom_site_fract_y
_atom_site_fract_z
Rb1 0.052 0.000 0.145
Rb2 0.097 0.500 0.693
Rb3 0.154 0.000 0.550
P1 0.002 0.000 0.027
P2 0.011 0.500 0.386
P3 0.068 0.000 0.251
P4 0.090 0.500 0.792
P5 0.104 0.000 0.417
P6 0.125 0.000 0.364
P7 0.137 0.500 0.971
P8 0.145 0.500 0.916
P9 0.202 0.500 0.253
P10 0.225 0.000 0.796
P11 0.230 0.500 0.090
```

The 10 most intense peaks (2θ from 10° to 90°), low angle first:
2θ (°)	Rel. int.
19.92	249
20.34	238
23.26	710
26.60	303
27.81	425
28.32	253
35.92	465
36.26	1000
37.36	229
54.43	261

---

5.
For LiTiP4O12, a structure optimized by DFT (GGA-PBE) gives the theoretical powder diffractogram in this record (Cu Kα X-rays).

Crystal structure
```
data_LiTiP4O12
_cell_length_a 12.137
_cell_length_b 8.445
_cell_length_c 9.983
_cell_angle_alpha 90.00
_cell_angle_beta 118.64
_cell_angle_gamma 90.00
_symmetry_space_group_name_H-M 'C 1 2/c 1'
_symmetry_Int_Tables_number 15
loop_
_symmetry_equiv_pos_as_xyz
'x,y,z'
'-x,-y,-z'
'-x,y,-z+1/2'
'x,-y,z+1/2'
'x+1/2,y+1/2,z'
'-x+1/2,-y+1/2,-z'
'-x+1/2,y+1/2,-z+1/2'
'x+1/2,-y+1/2,z+1/2'
loop_
_atom_site_label
_atom_site_fract_x
_atom_site_fract_y
_atom_site_fract_z
Li1 0.000 0.041 0.250
Ti1 0.250 0.250 0.500
P1 0.006 0.263 0.973
P2 0.190 0.494 0.196
O1 0.032 0.123 0.908
O2 0.058 0.250 0.428
O3 0.074 0.392 0.662
O4 0.136 0.360 0.067
O5 0.212 0.084 0.327
O6 0.230 0.421 0.349
```

The 10 most intense peaks (2θ from 10° to 90°), low angle first:
2θ (°)	Rel. int.
13.38	216
14.17	303
19.08	829
24.47	383
26.95	364
27.25	205
27.56	168
29.38	1000
30.73	214
33.66	191

---

6.
For Sm2O3, a structure optimized by DFT (GGA-PBE) gives the theoretical powder diffractogram in this record (Cu Kα X-rays).

Crystal structure
```
data_Sm2O3
_cell_length_a 11.000
_cell_length_b 11.000
_cell_length_c 11.000
_cell_angle_alpha 90.00
_cell_angle_beta 90.00
_cell_angle_gamma 90.00
_symmetry_space_group_name_H-M 'I a -3'
_symmetry_Int_Tables_number 206
_symmetry_space_group_name_Hall '-I 2b 2c 3'
loop_
_atom_site_label
_atom_site_fract_x
_atom_site_fract_y
_atom_site_fract_z
Sm1 0.000 0.000 0.000
Sm2 0.000 0.250 0.281
O1 0.100 0.141 0.629
```

The 10 most intense peaks (2θ from 10° to 90°), low angle first:
2θ (°)	Rel. int.
19.77	94
28.10	1000
32.56	341
41.88	78
46.72	402
55.41	330
58.10	68
75.32	93
77.64	70
86.74	63